Entry 1:
Hf3TiTl3Te8: calculated X-ray diffraction stick pattern (Cu Ka), based on a GGA-PBE-relaxed structure.
Peak positions follow from Bragg's law for the DFT cell and can differ from measured ones.

Largest 6 diffraction maxima, by intensity, 10 to 80 degrees two-theta:
2theta, I/Imax
29.1, 100
37.9, 39
45.2, 33
54.7, 17
73.6, 14
14.5, 12

Cell and atoms:
a = 13.8855 Å, b = 8.0248 Å, c = 9.8297 Å
α = 90.00°, β = 118.01°, γ = 90.00°
Space group C2/m (No. 12)
One atom of each set of equivalent atoms:
Hf1 0.0000 0.0000 0.0000 (multiplicity 2)
Hf2 0.2500 0.2500 0.0000 (multiplicity 4)
Ti1 0.0000 0.5000 0.0000 (multiplicity 2)
Tl1 0.0000 0.5000 0.5000 (multiplicity 2)
Tl2 0.2500 0.2500 0.5000 (multiplicity 4)
Te1 0.0158 0.2539 0.8012 (multiplicity 8)
Te2 0.2302 0.5000 0.1988 (multiplicity 4)
Te3 0.2338 0.0000 0.2017 (multiplicity 4)

Entry 2:
HfTlTe2: calculated X-ray diffraction stick pattern (Cu Ka), based on a GGA-PBE-relaxed structure.
Peak positions follow from Bragg's law for the DFT cell and can differ from measured ones.

Largest 6 diffraction maxima, by intensity, 10 to 80 degrees two-theta:
2theta, I/Imax
32.8, 100
45.5, 32
27.7, 29
25.8, 24
48.5, 23
57.2, 21

Cell and atoms:
a = 6.9053 Å, b = 3.9852 Å, c = 8.9566 Å
α = 90.00°, β = 90.08°, γ = 90.00°
Space group C2 (No. 5)
One atom of each set of equivalent atoms:
Hf1 0.0000 0.0000 0.0000 (multiplicity 2)
Tl1 0.0000 0.9992 0.5000 (multiplicity 2)
Te1 0.1673 0.5002 0.1978 (multiplicity 4)

Entry 3:
HfTl8Te6: calculated X-ray diffraction stick pattern (Cu Ka), based on a GGA-PBE-relaxed structure.
Peak positions follow from Bragg's law for the DFT cell and can differ from measured ones.

Largest 6 diffraction maxima, by intensity, 10 to 80 degrees two-theta:
2theta, I/Imax
27.8, 100
30.2, 79
32.0, 58
36.1, 57
33.7, 52
33.3, 50

Cell and atoms:
a = 9.9563 Å, b = 8.8050 Å, c = 13.5033 Å
α = 90.00°, β = 90.00°, γ = 90.00°
Space group Pmn2_1 (No. 31)
One atom of each set of equivalent atoms:
Hf1 0.0000 0.1661 0.0000 (multiplicity 2)
Tl1 0.0000 0.5218 0.9032 (multiplicity 2)
Tl2 0.0000 0.5543 0.4450 (multiplicity 2)
Tl3 0.2034 0.9252 0.6284 (multiplicity 4)
Tl4 0.2331 0.1596 0.3691 (multiplicity 4)
Tl5 0.2427 0.3893 0.6590 (multiplicity 4)
Te1 0.0000 0.1802 0.5343 (multiplicity 2)
Te2 0.0000 0.3317 0.1719 (multiplicity 2)
Te3 0.0000 0.6436 0.6807 (multiplicity 2)
Te4 0.0000 0.8590 0.0328 (multiplicity 2)
Te5 0.2287 0.2162 0.8870 (multiplicity 4)